CoTe6Pd3: computed X-ray powder pattern (Cu Kα), based on a GGA-PBE-relaxed structure.
No peak broadening, texture or thermal motion is included.

Principal peaks in the range 10° ≤ 2θ ≤ 90°, low angle first:
- 2θ = 16.43°, 5.397 Å, I = 58
- 2θ = 18.39°, 4.824 Å, I = 100
- 2θ = 27.58°, 3.234 Å, I = 67
- 2θ = 28.28°, 3.156 Å, I = 57
- 2θ = 37.18°, 2.418 Å, I = 57
- 2θ = 37.37°, 2.406 Å, I = 62
- 2θ = 44.89°, 2.019 Å, I = 41
- 2θ = 45.15°, 2.008 Å, I = 47

```
data_CoTe6Pd3
_cell_length_a 6.0165
_cell_length_b 8.0361
_cell_length_c 8.0364
_cell_angle_alpha 60.31
_cell_angle_beta 68.97
_cell_angle_gamma 68.64
_symmetry_space_group_name_H-M 'P -1'
_symmetry_Int_Tables_number 2
loop_
_symmetry_equiv_pos_as_xyz
'x,y,z'
'-x,-y,-z'
loop_
_atom_site_label
_atom_site_fract_x
_atom_site_fract_y
_atom_site_fract_z
Co1 0.0000 0.0000 0.0000
Te1 0.2290 0.2739 0.8181
Te2 0.2349 0.8223 0.2708
Te3 0.2438 0.7874 0.7895
Pd1 0.0000 0.0000 0.5000
Pd2 0.0000 0.5000 0.0000
Pd3 0.5000 0.5000 0.5000
```



CaTl3Ge2O6: computed X-ray powder pattern (Cu Kα), based on a GGA-PBE-relaxed structure.
No peak broadening, texture or thermal motion is included.

Principal peaks in the range 10° ≤ 2θ ≤ 90°, low angle first:
- 2θ = 20.68°, 4.296 Å, I = 52
- 2θ = 29.07°, 3.072 Å, I = 100
- 2θ = 29.74°, 3.004 Å, I = 85
- 2θ = 35.94°, 2.499 Å, I = 26
- 2θ = 42.07°, 2.148 Å, I = 37
- 2θ = 51.53°, 1.774 Å, I = 21
- 2θ = 51.95°, 1.760 Å, I = 35
- 2θ = 60.26°, 1.536 Å, I = 17

```
data_CaTl3Ge2O6
_cell_length_a 6.1436
_cell_length_b 6.1436
_cell_length_c 7.2810
_cell_angle_alpha 90.00
_cell_angle_beta 90.00
_cell_angle_gamma 120.00
_symmetry_space_group_name_H-M 'P -3 m 1'
_symmetry_Int_Tables_number 164
_symmetry_space_group_name_Hall '-P 3 2"'
loop_
_atom_site_label
_atom_site_fract_x
_atom_site_fract_y
_atom_site_fract_z
Ca1 0.0000 0.0000 0.0000
Tl1 0.0000 0.0000 0.5000
Tl2 0.3333 0.6667 0.2671
Ge1 0.3333 0.6667 0.8323
O1 0.1724 0.3448 0.7945
```



Ca2Zn7In: computed X-ray powder pattern (Cu Kα), based on a GGA-PBE-relaxed structure.
No peak broadening, texture or thermal motion is included.

Principal peaks in the range 10° ≤ 2θ ≤ 90°, low angle first:
- 2θ = 15.76°, 5.622 Å, I = 26
- 2θ = 22.46°, 3.958 Å, I = 26
- 2θ = 31.90°, 2.806 Å, I = 30
- 2θ = 33.96°, 2.640 Å, I = 100
- 2θ = 42.77°, 2.114 Å, I = 58
- 2θ = 44.22°, 2.048 Å, I = 55
- 2θ = 45.69°, 1.986 Å, I = 23
- 2θ = 72.68°, 1.301 Å, I = 19

```
data_Ca2Zn7In
_cell_length_a 4.2287
_cell_length_b 4.2287
_cell_length_c 11.2446
_cell_angle_alpha 90.00
_cell_angle_beta 90.00
_cell_angle_gamma 90.00
_symmetry_space_group_name_H-M 'P -4 m 2'
_symmetry_Int_Tables_number 115
loop_
_symmetry_equiv_pos_as_xyz
'x,y,z'
'y,-x,-z'
'-x,-y,z'
'-y,x,-z'
'-x,y,z'
'-y,-x,-z'
'x,-y,z'
'y,x,-z'
loop_
_atom_site_label
_atom_site_fract_x
_atom_site_fract_y
_atom_site_fract_z
Ca1 0.0000 0.5000 0.2418
Zn1 0.0000 0.0000 0.0000
Zn2 0.0000 0.5000 0.6491
Zn3 0.0000 0.5000 0.8683
Zn4 0.5000 0.5000 0.0000
Zn5 0.5000 0.5000 0.5000
In1 0.0000 0.0000 0.5000
```



Ce3Dy2YTe6: computed X-ray powder pattern (Cu Kα), based on a GGA-PBE-relaxed structure.
No peak broadening, texture or thermal motion is included.

Principal peaks in the range 10° ≤ 2θ ≤ 90°, low angle first:
- 2θ = 28.54°, 3.127 Å, I = 100
- 2θ = 40.43°, 2.231 Å, I = 39
- 2θ = 41.18°, 2.192 Å, I = 37
- 2θ = 50.86°, 1.795 Å, I = 20
- 2θ = 59.08°, 1.564 Å, I = 13
- 2θ = 66.37°, 1.408 Å, I = 17
- 2θ = 67.41°, 1.389 Å, I = 11
- 2θ = 74.50°, 1.274 Å, I = 8

```
data_Ce3Dy2YTe6
_cell_length_a 7.5869
_cell_length_b 13.1672
_cell_length_c 7.7763
_cell_angle_alpha 90.00
_cell_angle_beta 109.04
_cell_angle_gamma 90.00
_symmetry_space_group_name_H-M 'C 1 2/m 1'
_symmetry_Int_Tables_number 12
loop_
_symmetry_equiv_pos_as_xyz
'x,y,z'
'-x,-y,-z'
'-x,y,-z'
'x,-y,z'
'x+1/2,y+1/2,z'
'-x+1/2,-y+1/2,-z'
'-x+1/2,y+1/2,-z'
'x+1/2,-y+1/2,z'
loop_
_atom_site_label
_atom_site_fract_x
_atom_site_fract_y
_atom_site_fract_z
Ce1 0.0000 0.0000 0.0000
Ce2 0.0000 0.3337 0.0000
Dy1 0.0000 0.1666 0.5000
Y1 0.0000 0.5000 0.5000
Te1 0.2457 0.0000 0.7387
Te2 0.2466 0.3331 0.7389
```



SmEr5S6: computed X-ray powder pattern (Cu Kα), based on a GGA-PBE-relaxed structure.
No peak broadening, texture or thermal motion is included.

Principal peaks in the range 10° ≤ 2θ ≤ 90°, low angle first:
- 2θ = 28.06°, 3.180 Å, I = 42
- 2θ = 28.17°, 3.168 Å, I = 42
- 2θ = 32.57°, 2.749 Å, I = 100
- 2θ = 46.66°, 1.946 Å, I = 36
- 2θ = 46.76°, 1.943 Å, I = 24
- 2θ = 55.36°, 1.659 Å, I = 24
- 2θ = 55.52°, 1.655 Å, I = 17
- 2θ = 58.01°, 1.590 Å, I = 12

```
data_SmEr5S6
_cell_length_a 6.7355
_cell_length_b 11.6916
_cell_length_c 6.7224
_cell_angle_alpha 90.00
_cell_angle_beta 109.66
_cell_angle_gamma 90.00
_symmetry_space_group_name_H-M 'C 1 2/m 1'
_symmetry_Int_Tables_number 12
loop_
_symmetry_equiv_pos_as_xyz
'x,y,z'
'-x,-y,-z'
'-x,y,-z'
'x,-y,z'
'x+1/2,y+1/2,z'
'-x+1/2,-y+1/2,-z'
'-x+1/2,y+1/2,-z'
'x+1/2,-y+1/2,z'
loop_
_atom_site_label
_atom_site_fract_x
_atom_site_fract_y
_atom_site_fract_z
Sm1 0.0000 0.0000 0.0000
Er1 0.0000 0.1623 0.5000
Er2 0.0000 0.3345 0.0000
Er3 0.0000 0.5000 0.5000
S1 0.2429 0.5000 0.2524
S2 0.2442 0.3289 0.7447
```



Cd2InHgTe4: computed X-ray powder pattern (Cu Kα), based on a GGA-PBE-relaxed structure.
No peak broadening, texture or thermal motion is included.

Principal peaks in the range 10° ≤ 2θ ≤ 90°, low angle first:
- 2θ = 22.90°, 3.883 Å, I = 100
- 2θ = 37.70°, 2.386 Å, I = 27
- 2θ = 37.90°, 2.374 Å, I = 54
- 2θ = 44.57°, 2.033 Å, I = 34
- 2θ = 44.92°, 2.018 Å, I = 17
- 2θ = 54.37°, 1.687 Å, I = 9
- 2θ = 60.05°, 1.541 Å, I = 14
- 2θ = 68.14°, 1.376 Å, I = 9

```
data_Cd2InHgTe4
_cell_length_a 9.5354
_cell_length_b 9.5543
_cell_length_c 13.3596
_cell_angle_alpha 90.00
_cell_angle_beta 90.00
_cell_angle_gamma 90.00
_symmetry_space_group_name_H-M 'F m m 2'
_symmetry_Int_Tables_number 42
_symmetry_space_group_name_Hall 'F 2 -2'
loop_
_atom_site_label
_atom_site_fract_x
_atom_site_fract_y
_atom_site_fract_z
Cd1 0.2500 0.2500 0.0000
In1 0.0000 0.0000 0.2500
Hg1 0.0000 0.0000 0.7498
Te1 0.0000 0.2468 0.6225
Te2 0.2469 0.0000 0.8779
```



NpSnHgCl6: computed X-ray powder pattern (Cu Kα), based on a GGA-PBE-relaxed structure.
No peak broadening, texture or thermal motion is included.

Principal peaks in the range 10° ≤ 2θ ≤ 90°, low angle first:
- 2θ = 10.03°, 8.816 Å, I = 26
- 2θ = 17.30°, 5.126 Å, I = 100
- 2θ = 24.47°, 3.637 Å, I = 27
- 2θ = 30.13°, 2.966 Å, I = 21
- 2θ = 31.90°, 2.806 Å, I = 55
- 2θ = 39.19°, 2.299 Å, I = 25
- 2θ = 43.07°, 2.100 Å, I = 16
- 2θ = 48.28°, 1.885 Å, I = 17

```
data_NpSnHgCl6
_cell_length_a 7.2748
_cell_length_b 7.2748
_cell_length_c 8.8162
_cell_angle_alpha 90.00
_cell_angle_beta 90.00
_cell_angle_gamma 120.00
_symmetry_space_group_name_H-M 'P 3 1 2'
_symmetry_Int_Tables_number 149
loop_
_symmetry_equiv_pos_as_xyz
'x,y,z'
'-y,x-y,z'
'-x+y,-x,z'
'-y,-x,-z'
'-x+y,y,-z'
'x,x-y,-z'
loop_
_atom_site_label
_atom_site_fract_x
_atom_site_fract_y
_atom_site_fract_z
Np1 0.0000 0.0000 0.0000
Sn1 0.3333 0.6667 0.0000
Hg1 0.6667 0.3333 0.5000
Cl1 0.0249 0.3102 0.8323
```



Ba2HSe: computed X-ray powder pattern (Cu Kα), based on a GGA-PBE-relaxed structure.
No peak broadening, texture or thermal motion is included.

Principal peaks in the range 10° ≤ 2θ ≤ 90°, low angle first:
- 2θ = 24.09°, 3.694 Å, I = 78
- 2θ = 27.77°, 3.213 Å, I = 100
- 2θ = 28.13°, 3.172 Å, I = 48
- 2θ = 39.68°, 2.272 Å, I = 38
- 2θ = 39.94°, 2.257 Å, I = 74
- 2θ = 46.96°, 1.935 Å, I = 26
- 2θ = 49.34°, 1.847 Å, I = 40
- 2θ = 64.90°, 1.437 Å, I = 18

```
data_Ba2HSe
_cell_length_a 6.4266
_cell_length_b 6.4234
_cell_length_c 14.2101
_cell_angle_alpha 90.00
_cell_angle_beta 116.76
_cell_angle_gamma 90.00
_symmetry_space_group_name_H-M 'P 1 2/c 1'
_symmetry_Int_Tables_number 13
loop_
_symmetry_equiv_pos_as_xyz
'x,y,z'
'-x,-y,-z'
'-x,y,-z+1/2'
'x,-y,z+1/2'
loop_
_atom_site_label
_atom_site_fract_x
_atom_site_fract_y
_atom_site_fract_z
Ba1 0.1206 0.2486 0.1202
Ba2 0.3669 0.2493 0.8702
H1 0.1171 0.2461 0.6249
Se1 0.3746 0.2507 0.3750
```



Nd2Cu3Hg: computed X-ray powder pattern (Cu Kα), based on a GGA-PBE-relaxed structure.
No peak broadening, texture or thermal motion is included.

Principal peaks in the range 10° ≤ 2θ ≤ 90°, low angle first:
- 2θ = 23.20°, 3.835 Å, I = 19
- 2θ = 33.23°, 2.696 Å, I = 100
- 2θ = 33.43°, 2.681 Å, I = 51
- 2θ = 39.83°, 2.263 Å, I = 31
- 2θ = 40.34°, 2.236 Å, I = 59
- 2θ = 48.86°, 1.864 Å, I = 17
- 2θ = 52.95°, 1.729 Å, I = 27
- 2θ = 65.16°, 1.432 Å, I = 28

```
data_Nd2Cu3Hg
_cell_length_a 7.4561
_cell_length_b 9.0520
_cell_length_c 15.4276
_cell_angle_alpha 90.00
_cell_angle_beta 90.00
_cell_angle_gamma 90.00
_symmetry_space_group_name_H-M 'F m m m'
_symmetry_Int_Tables_number 69
_symmetry_space_group_name_Hall '-F 2 2'
loop_
_atom_site_label
_atom_site_fract_x
_atom_site_fract_y
_atom_site_fract_z
Nd1 0.2420 0.0000 0.0000
Nd2 0.2500 0.2500 0.2500
Cu1 0.0000 0.0000 0.1603
Cu2 0.0000 0.2406 0.0806
Hg1 0.0000 0.0000 0.3341
```



LiNd2Tm: computed X-ray powder pattern (Cu Kα), based on a GGA-PBE-relaxed structure.
No peak broadening, texture or thermal motion is included.

Principal peaks in the range 10° ≤ 2θ ≤ 90°, low angle first:
- 2θ = 30.14°, 2.965 Å, I = 100
- 2θ = 32.93°, 2.720 Å, I = 62
- 2θ = 37.14°, 2.421 Å, I = 46
- 2θ = 48.53°, 1.876 Å, I = 16
- 2θ = 51.73°, 1.767 Å, I = 19
- 2θ = 61.03°, 1.518 Å, I = 32
- 2θ = 62.65°, 1.483 Å, I = 24
- 2θ = 85.47°, 1.136 Å, I = 21

```
data_LiNd2Tm
_cell_length_a 3.5342
_cell_length_b 3.5342
_cell_length_c 11.8715
_cell_angle_alpha 90.00
_cell_angle_beta 90.00
_cell_angle_gamma 120.00
_symmetry_space_group_name_H-M 'P 3 m 1'
_symmetry_Int_Tables_number 156
loop_
_symmetry_equiv_pos_as_xyz
'x,y,z'
'-y,x-y,z'
'-x+y,-x,z'
'-y,-x,z'
'-x+y,y,z'
'x,x-y,z'
loop_
_atom_site_label
_atom_site_fract_x
_atom_site_fract_y
_atom_site_fract_z
Li1 0.0000 0.0000 0.0000
Nd1 0.0000 0.0000 0.7244
Nd2 0.6667 0.3333 0.2410
Tm1 0.3333 0.6667 0.4844
```



Mo5Rh4: computed X-ray powder pattern (Cu Kα), based on a GGA-PBE-relaxed structure.
No peak broadening, texture or thermal motion is included.

Principal peaks in the range 10° ≤ 2θ ≤ 90°, low angle first:
- 2θ = 39.78°, 2.266 Å, I = 100
- 2θ = 46.18°, 1.966 Å, I = 16
- 2θ = 46.31°, 1.960 Å, I = 32
- 2θ = 67.47°, 1.388 Å, I = 20
- 2θ = 67.58°, 1.386 Å, I = 10
- 2θ = 81.19°, 1.185 Å, I = 12
- 2θ = 81.38°, 1.182 Å, I = 24
- 2θ = 85.77°, 1.133 Å, I = 11

```
data_Mo5Rh4
_cell_length_a 8.3174
_cell_length_b 8.3174
_cell_length_c 3.9313
_cell_angle_alpha 90.00
_cell_angle_beta 90.00
_cell_angle_gamma 90.00
_symmetry_space_group_name_H-M 'I 4/m m m'
_symmetry_Int_Tables_number 139
_symmetry_space_group_name_Hall '-I 4 2'
loop_
_atom_site_label
_atom_site_fract_x
_atom_site_fract_y
_atom_site_fract_z
Mo1 0.0000 0.0000 0.0000
Mo2 0.1706 0.1706 0.5000
Rh1 0.0000 0.3309 0.0000
```



In3Ag3SnS8: computed X-ray powder pattern (Cu Kα), based on a GGA-PBE-relaxed structure.
No peak broadening, texture or thermal motion is included.

Principal peaks in the range 10° ≤ 2θ ≤ 90°, low angle first:
- 2θ = 14.22°, 6.229 Å, I = 10
- 2θ = 27.59°, 3.233 Å, I = 16
- 2θ = 28.66°, 3.115 Å, I = 36
- 2θ = 32.91°, 2.722 Å, I = 100
- 2θ = 46.54°, 1.951 Å, I = 36
- 2θ = 47.91°, 1.899 Å, I = 33
- 2θ = 59.35°, 1.557 Å, I = 17
- 2θ = 79.62°, 1.204 Å, I = 14

```
data_In3Ag3SnS8
_cell_length_a 13.1568
_cell_length_b 7.5946
_cell_length_c 7.8198
_cell_angle_alpha 90.00
_cell_angle_beta 124.25
_cell_angle_gamma 90.00
_symmetry_space_group_name_H-M 'C 1 2/m 1'
_symmetry_Int_Tables_number 12
loop_
_symmetry_equiv_pos_as_xyz
'x,y,z'
'-x,-y,-z'
'-x,y,-z'
'x,-y,z'
'x+1/2,y+1/2,z'
'-x+1/2,-y+1/2,-z'
'-x+1/2,y+1/2,-z'
'x+1/2,-y+1/2,z'
loop_
_atom_site_label
_atom_site_fract_x
_atom_site_fract_y
_atom_site_fract_z
In1 0.0000 0.0000 0.0000
In2 0.2500 0.2500 0.0000
Ag1 0.0000 0.5000 0.5000
Ag2 0.2500 0.2500 0.5000
Sn1 0.0000 0.5000 0.0000
S1 0.0023 0.2589 0.7673
S2 0.2384 0.5000 0.2325
S3 0.2426 0.0000 0.2262
```